Diffraction record for Na3Mn2P2C2O14. The X-ray diffraction stick pattern is computed, not measured: it uses a structure optimized by DFT (GGA+U) and Cu Kα, 1.54184 Å.
Neutral-atom scattering factors, no anomalous dispersion.

```
data_Na3Mn2P2C2O14
_cell_length_a 9.114
_cell_length_b 6.571
_cell_length_c 10.392
_cell_angle_alpha 90.00
_cell_angle_beta 91.67
_cell_angle_gamma 90.00
_space_group_name_H-M_alt 'P 1 21 1'
_space_group_IT_number 4
_space_group_name_Hall 'P 2yb'
loop_
_atom_site_label
_atom_site_type_symbol
_atom_site_fract_x
_atom_site_fract_y
_atom_site_fract_z
Na1 Na 0.236 0.000 0.128
Na2 Na 0.236 0.960 0.634
Na3 Na 0.237 0.521 0.131
Mn1 Mn 0.347 0.263 0.854
Mn2 Mn 0.357 0.258 0.360
P1 P 0.426 0.760 0.898
P2 P 0.431 0.754 0.387
C1 C 0.081 0.257 0.887
C2 C 0.093 0.253 0.392
O1 O 0.040 0.761 0.591
O2 O 0.055 0.758 0.099
O3 O 0.144 0.249 0.776
O4 O 0.155 0.259 0.278
O5 O 0.179 0.263 0.984
O6 O 0.195 0.238 0.485
O7 O 0.329 0.946 0.864
O8 O 0.331 0.571 0.867
O9 O 0.333 0.569 0.350
O10 O 0.343 0.944 0.342
O11 O 0.419 0.238 0.679
O12 O 0.427 0.263 0.174
O13 O 0.461 0.766 0.536
O14 O 0.462 0.763 0.048
```

Main lines, in order of rising 2θ (2θ = 10–90°):
2theta  d (Å)  Rel. int.  index
16.6  5.329  100  1 1 0
19.4  4.567  34  1 0 -2
19.9  4.457  39  1 0 2
21.8  4.075  49  0 1 2
24.1  3.688  43  1 1 2
25.6  3.475  77  2 0 -2
27.1  3.285  90  0 2 0
33.6  2.666  69  2 2 0
34.5  2.597  51  0 0 4
42.4  2.130  34  1 3 0